Record 1
Diffraction record for CaCu2O4. The X-ray diffraction stick pattern is theoretical, not measured: it uses a cell relaxed with PBE and Cu Kα.
Peak positions follow from Bragg's law for the DFT cell and can differ from measured ones.

Crystal structure
```
data_CaCu2O4
_chemical_formula_sum 'Ca4 Cu8 O16'
_space_group_name_H-M_alt 'C m c m'
_space_group_IT_number 63
_space_group_name_Hall '-C 2c 2'
_cell_length_a 3.136
_cell_length_b 9.842
_cell_length_c 9.518
_cell_angle_alpha 90.00
_cell_angle_beta 90.00
_cell_angle_gamma 90.00
loop_
_atom_site_label
_atom_site_type_symbol
_atom_site_fract_x
_atom_site_fract_y
_atom_site_fract_z
Ca1 Ca 0.000 0.106 0.250
Cu1 Cu 0.000 0.363 0.069
O1 O 0.000 0.000 0.000
O2 O 0.000 0.273 0.606
O3 O 0.000 0.439 0.250
```

The 10 most intense peaks (2θ = 10–90°), by angle:
two_theta  d [Å]  Rel. int.  hkl
18.65  4.759  27  0 0 2
31.38  2.851  32  1 1 1
33.61  2.666  100  0 2 3
35.47  2.531  27  1 1 2
36.52  2.460  26  0 4 0
39.76  2.267  40  1 3 0
40.92  2.205  50  1 3 1
44.26  2.047  53  1 3 2
62.98  1.476  27  1 5 3
63.87  1.457  32  0 6 3

Record 2
Diffraction record for CaCu2O4. The X-ray diffraction stick pattern is theoretical, not measured: it uses a cell relaxed with PBE and Cu Kα.
Peak positions follow from Bragg's law for the DFT cell and can differ from measured ones.

Crystal structure
```
data_CaCu2O4
_chemical_formula_sum 'Ca2 Cu4 O8'
_space_group_name_H-M_alt 'P 1 21 1'
_space_group_IT_number 4
_cell_length_a 3.382
_cell_length_b 10.347
_cell_length_c 5.456
_cell_angle_alpha 90.00
_cell_angle_beta 90.11
_cell_angle_gamma 90.00
loop_
_space_group_symop_operation_xyz
'x,y,z'
'-x,y+1/2,-z'
loop_
_atom_site_label
_atom_site_type_symbol
_atom_site_fract_x
_atom_site_fract_y
_atom_site_fract_z
Ca1 Ca 0.007 0.000 0.260
Cu1 Cu 0.493 0.548 0.239
Cu2 Cu 0.496 0.279 0.255
O1 O 0.490 0.408 0.023
O2 O 0.490 0.414 0.468
O3 O 0.494 0.636 0.950
O4 O 0.500 0.143 0.479
```

The 10 most intense peaks (2θ = 10–90°), by angle:
two_theta  d [Å]  Rel. int.  hkl
17.14  5.174  16  0 2 0
18.38  4.826  50  0 1 1
26.35  3.382  66  1 0 0
30.67  2.915  38  0 3 1
32.32  2.770  100  1 1 -1
32.83  2.728  19  0 0 2
40.87  2.208  41  1 3 -1
48.50  1.877  39  0 4 2
54.25  1.691  17  2 0 0
56.00  1.642  14  1 4 -2

Record 3
Diffraction record for Ca2Cu2O5. The X-ray diffraction stick pattern is theoretical, not measured: it uses a cell relaxed with PBE and Cu Kα.
Peak positions follow from Bragg's law for the DFT cell and can differ from measured ones.

Crystal structure
```
data_Ca2Cu2O5
_chemical_formula_sum 'Ca4 Cu4 O10'
_space_group_name_H-M_alt 'P b a m'
_space_group_IT_number 55
_cell_length_a 5.391
_cell_length_b 10.365
_cell_length_c 3.792
_cell_angle_alpha 90.00
_cell_angle_beta 90.00
_cell_angle_gamma 90.00
loop_
_space_group_symop_operation_xyz
'x,y,z'
'-x,-y,-z'
'-x,-y,z'
'x,y,-z'
'x+1/2,-y+1/2,-z'
'-x+1/2,y+1/2,z'
'-x+1/2,y+1/2,-z'
'x+1/2,-y+1/2,z'
loop_
_atom_site_label
_atom_site_type_symbol
_atom_site_fract_x
_atom_site_fract_y
_atom_site_fract_z
Ca1 Ca 0.192 0.130 0.000
Cu1 Cu 0.221 0.380 0.500
O1 O 0.000 0.000 0.500
O2 O 0.078 0.711 0.500
O3 O 0.213 0.400 0.000
```

The 10 most intense peaks (2θ = 10–90°), by angle:
two_theta  d [Å]  Rel. int.  hkl
23.82  3.736  25  1 2 0
33.24  2.695  29  2 0 0
33.68  2.661  100  1 2 1
34.62  2.591  34  0 4 0
47.98  1.896  25  0 0 2
48.75  1.868  30  2 4 0
59.65  1.550  22  2 0 2
60.50  1.530  12  0 4 2
61.44  1.509  22  1 6 1
70.81  1.331  17  2 4 2

Record 4
Diffraction record for CaCu3P4O14. The X-ray diffraction stick pattern is theoretical, not measured: it uses a cell relaxed with PBE and Cu Kα.
Peak positions follow from Bragg's law for the DFT cell and can differ from measured ones.

Crystal structure
```
data_CaCu3P4O14
_chemical_formula_sum 'Ca2 Cu6 P8 O28'
_space_group_name_H-M_alt 'P 1 21/c 1'
_space_group_IT_number 14
_cell_length_a 7.335
_cell_length_b 7.857
_cell_length_c 9.458
_cell_angle_alpha 90.00
_cell_angle_beta 110.33
_cell_angle_gamma 90.00
loop_
_space_group_symop_operation_xyz
'x,y,z'
'-x,-y,-z'
'-x,y+1/2,-z+1/2'
'x,-y+1/2,z+1/2'
loop_
_atom_site_label
_atom_site_type_symbol
_atom_site_fract_x
_atom_site_fract_y
_atom_site_fract_z
Ca1 Ca 0.000 0.000 0.000
Cu1 Cu 0.310 0.130 0.478
Cu2 Cu 0.500 0.000 0.000
P1 P 0.094 0.053 0.700
P2 P 0.393 0.708 0.196
O1 O 0.116 0.511 0.818
O2 O 0.125 0.182 0.588
O3 O 0.183 0.628 0.172
O4 O 0.202 0.102 0.866
O5 O 0.342 0.619 0.615
O6 O 0.491 0.715 0.370
O7 O 0.496 0.588 0.122
```

The 10 most intense peaks (2θ = 10–90°), by angle:
two_theta  d [Å]  Rel. int.  hkl
12.87  6.878  57  1 0 0
20.02  4.434  37  0 0 2
29.08  3.071  67  2 1 -2
29.63  3.015  100  1 2 1
29.76  3.002  72  1 1 2
30.18  2.962  50  1 2 -2
33.07  2.709  66  2 1 1
34.36  2.610  42  2 1 -3
35.75  2.512  58  0 3 1
48.47  1.878  36  2 1 3

Record 5
Diffraction record for Ca3Cu3P4O16. The X-ray diffraction stick pattern is theoretical, not measured: it uses a cell relaxed with PBE and Cu Kα.
Peak positions follow from Bragg's law for the DFT cell and can differ from measured ones.

Crystal structure
```
data_Ca3Cu3P4O16
_chemical_formula_sum 'Ca6 Cu6 P8 O32'
_space_group_name_H-M_alt 'P 1 21/c 1'
_space_group_IT_number 14
_cell_length_a 9.026
_cell_length_b 4.967
_cell_length_c 16.665
_cell_angle_alpha 90.00
_cell_angle_beta 117.78
_cell_angle_gamma 90.00
loop_
_space_group_symop_operation_xyz
'x,y,z'
'-x,-y,-z'
'-x,y+1/2,-z+1/2'
'x,-y+1/2,z+1/2'
loop_
_atom_site_label
_atom_site_type_symbol
_atom_site_fract_x
_atom_site_fract_y
_atom_site_fract_z
Ca1 Ca 0.000 0.000 0.000
Ca2 Ca 0.301 0.030 0.265
Cu1 Cu 0.208 0.530 0.380
Cu2 Cu 0.500 0.000 0.500
P1 P 0.038 0.513 0.160
P2 P 0.436 0.509 0.594
O1 O 0.034 0.679 0.643
O2 O 0.092 0.149 0.600
O3 O 0.136 0.577 0.850
O4 O 0.180 0.041 0.760
O5 O 0.265 0.555 0.509
O6 O 0.429 0.192 0.918
O7 O 0.433 0.593 0.680
O8 O 0.498 0.211 0.600
```

The 10 most intense peaks (2θ = 10–90°), by angle:
two_theta  d [Å]  Rel. int.  hkl
11.96  7.402  100  1 0 -2
18.85  4.707  25  0 1 1
27.05  3.297  68  2 1 -1
31.15  2.871  59  1 1 3
32.48  2.756  29  1 1 -5
32.72  2.737  25  2 0 -6
34.97  2.566  61  3 1 -3
36.16  2.484  37  0 2 0
49.55  1.840  18  2 2 -6
64.30  1.449  24  3 3 -3

Record 6
Diffraction record for CaCu3P3O13. The X-ray diffraction stick pattern is theoretical, not measured: it uses a cell relaxed with PBE and Cu Kα.
Peak positions follow from Bragg's law for the DFT cell and can differ from measured ones.

Crystal structure
```
data_CaCu3P3O13
_chemical_formula_sum 'Ca2 Cu6 P6 O26'
_space_group_name_H-M_alt 'P 1 21/m 1'
_space_group_IT_number 11
_cell_length_a 7.577
_cell_length_b 6.226
_cell_length_c 10.222
_cell_angle_alpha 90.00
_cell_angle_beta 100.10
_cell_angle_gamma 90.00
loop_
_space_group_symop_operation_xyz
'x,y,z'
'-x,-y,-z'
'-x,y+1/2,-z'
'x,-y+1/2,z'
loop_
_atom_site_label
_atom_site_type_symbol
_atom_site_fract_x
_atom_site_fract_y
_atom_site_fract_z
Ca1 Ca 0.163 0.250 0.195
Cu1 Cu 0.149 0.250 0.798
Cu2 Cu 0.265 0.750 0.435
Cu3 Cu 0.500 0.000 0.000
P1 P 0.188 0.750 0.113
P2 P 0.243 0.750 0.760
P3 P 0.290 0.250 0.516
O1 O 0.002 0.250 0.970
O2 O 0.121 0.562 0.789
O3 O 0.135 0.750 0.256
O4 O 0.147 0.250 0.606
O5 O 0.253 0.061 0.413
O6 O 0.294 0.544 0.098
O7 O 0.303 0.750 0.626
O8 O 0.381 0.250 0.908
O9 O 0.419 0.750 0.867
O10 O 0.475 0.250 0.602
```

The 10 most intense peaks (2θ = 10–90°), by angle:
two_theta  d [Å]  Rel. int.  hkl
19.47  4.558  100  1 0 -2
22.99  3.869  37  1 0 2
23.89  3.724  80  2 0 0
26.91  3.313  45  2 0 1
28.68  3.113  70  0 2 0
31.10  2.876  86  1 0 3
32.62  2.745  39  2 0 -3
33.00  2.715  40  1 2 1
37.64  2.390  41  2 2 0
39.50  2.281  44  0 2 3

Record 7
Diffraction record for CaCuP2O7. The X-ray diffraction stick pattern is theoretical, not measured: it uses a cell relaxed with PBE and Cu Kα.
Peak positions follow from Bragg's law for the DFT cell and can differ from measured ones.

Crystal structure
```
data_CaCuP2O7
_chemical_formula_sum 'Ca2 Cu2 P4 O14'
_space_group_name_H-M_alt 'P -1'
_space_group_IT_number 2
_cell_length_a 6.482
_cell_length_b 6.574
_cell_length_c 6.712
_cell_angle_alpha 66.33
_cell_angle_beta 87.35
_cell_angle_gamma 82.55
loop_
_space_group_symop_operation_xyz
'x,y,z'
'-x,-y,-z'
loop_
_atom_site_label
_atom_site_type_symbol
_atom_site_fract_x
_atom_site_fract_y
_atom_site_fract_z
Ca1 Ca 0.143 0.229 0.326
Cu1 Cu 0.352 0.399 0.725
P1 P 0.143 0.729 0.252
P2 P 0.373 0.857 0.832
O1 O 0.026 0.399 0.780
O2 O 0.068 0.884 0.363
O3 O 0.222 0.890 0.020
O4 O 0.273 0.706 0.753
O5 O 0.331 0.550 0.367
O6 O 0.375 0.099 0.661
O7 O 0.410 0.246 0.063
```

The 10 most intense peaks (2θ = 10–90°), by angle:
two_theta  d [Å]  Rel. int.  hkl
16.03  5.528  29  0 1 1
19.92  4.457  23  1 0 -1
27.49  3.245  48  0 2 1
29.05  3.074  83  0 0 2
29.20  3.058  100  1 2 1
31.33  2.855  79  2 0 -1
31.50  2.841  79  2 0 1
34.60  2.592  19  1 -2 0
41.71  2.166  19  0 3 1
43.11  2.098  26  0 3 2

Record 8
Diffraction record for CaCuP2O7. The X-ray diffraction stick pattern is theoretical, not measured: it uses a cell relaxed with PBE and Cu Kα.
Peak positions follow from Bragg's law for the DFT cell and can differ from measured ones.

Crystal structure
```
data_CaCuP2O7
_chemical_formula_sum 'Ca4 Cu4 P8 O28'
_space_group_name_H-M_alt 'P 1 21/c 1'
_space_group_IT_number 14
_cell_length_a 5.302
_cell_length_b 8.137
_cell_length_c 13.420
_cell_angle_alpha 90.00
_cell_angle_beta 111.42
_cell_angle_gamma 90.00
loop_
_space_group_symop_operation_xyz
'x,y,z'
'-x,-y,-z'
'-x,y+1/2,-z+1/2'
'x,-y+1/2,z+1/2'
loop_
_atom_site_label
_atom_site_type_symbol
_atom_site_fract_x
_atom_site_fract_y
_atom_site_fract_z
Ca1 Ca 0.015 0.182 0.226
Cu1 Cu 0.318 0.641 0.610
P1 P 0.326 0.202 0.016
P2 P 0.412 0.028 0.666
O1 O 0.117 0.189 0.903
O2 O 0.180 0.042 0.707
O3 O 0.251 0.102 0.100
O4 O 0.312 0.106 0.548
O5 O 0.330 0.622 0.765
O6 O 0.376 0.666 0.472
O7 O 0.500 0.149 0.344
```

The 10 most intense peaks (2θ = 10–90°), by angle:
two_theta  d [Å]  Rel. int.  hkl
12.98  6.818  37  0 1 1
17.94  4.943  48  1 0 0
18.39  4.823  21  1 0 -2
26.80  3.326  83  1 0 2
27.65  3.226  62  1 2 -1
28.71  3.110  27  1 2 -2
29.80  2.998  41  1 1 -4
33.82  2.650  100  2 0 -2
44.94  2.017  29  0 1 6
45.80  1.981  29  2 2 1

Record 9
Diffraction record for CaCuP2O7. The X-ray diffraction stick pattern is theoretical, not measured: it uses a cell relaxed with PBE and Cu Kα.
Peak positions follow from Bragg's law for the DFT cell and can differ from measured ones.

Crystal structure
```
data_CaCuP2O7
_chemical_formula_sum 'Ca2 Cu2 P4 O14'
_space_group_name_H-M_alt 'P -1'
_space_group_IT_number 2
_cell_length_a 6.088
_cell_length_b 6.514
_cell_length_c 7.467
_cell_angle_alpha 81.60
_cell_angle_beta 89.50
_cell_angle_gamma 68.50
loop_
_space_group_symop_operation_xyz
'x,y,z'
'-x,-y,-z'
loop_
_atom_site_label
_atom_site_type_symbol
_atom_site_fract_x
_atom_site_fract_y
_atom_site_fract_z
Ca1 Ca 0.203 0.285 0.363
Cu1 Cu 0.234 0.877 0.829
P1 P 0.259 0.783 0.377
P2 P 0.343 0.338 0.882
O1 O 0.090 0.006 0.268
O2 O 0.136 0.627 0.452
O3 O 0.166 0.582 0.854
O4 O 0.246 0.183 0.806
O5 O 0.400 0.841 0.516
O6 O 0.431 0.651 0.231
O7 O 0.438 0.261 0.082
```

The 10 most intense peaks (2θ = 10–90°), by angle:
two_theta  d [Å]  Rel. int.  hkl
19.30  4.599  20  1 0 -1
28.10  3.175  41  1 2 0
28.23  3.161  100  1 0 -2
29.07  3.072  23  1 2 1
29.43  3.035  21  1 -1 1
29.54  3.024  55  1 0 2
29.84  2.995  19  0 2 0
31.64  2.828  40  2 0 0
42.06  2.148  17  1 3 1
43.08  2.100  17  2 -1 1